No. 1
This entry pairs a crystal structure of Tb3Pa3IrN8 with its simulated XRD peak list. Radiation: Cu Ka. Structure: a cell relaxed with GGA-PBE.
Peak positions follow from Bragg's law for the DFT cell and can differ from measured ones.

Most intense lines, 10 to 90 degrees two-theta, in order of rising 2θ:
2theta	Rel. int.
15.71	20
31.73	35
32.17	100
37.19	94
53.32	33
53.89	32
63.39	17
63.91	30
64.17	15
67.30	16

Crystal structure
a b c (Å): 6.8731 6.8731 6.8731
angles (deg): 59.34 59.34 59.34
Positions (direct):
Tb1 0.0000 0.5000 0.5000
Tb2 0.5000 0.0000 0.5000
Tb3 0.5000 0.5000 0.0000
Pa1 0.0000 0.0000 0.5000
Pa2 0.0000 0.5000 0.0000
Pa3 0.5000 0.0000 0.0000
Ir1 0.5000 0.5000 0.5000
N1 0.2480 0.2480 0.2480
N2 0.2521 0.7335 0.7335
N3 0.2665 0.2665 0.7479
N4 0.2665 0.7479 0.2665
N5 0.7335 0.2521 0.7335
N6 0.7335 0.7335 0.2521
N7 0.7479 0.2665 0.2665
N8 0.7520 0.7520 0.7520

No. 2
This entry pairs a crystal structure of Ca4HgN with its simulated XRD peak list. Radiation: Cu Ka. Structure: a cell relaxed with GGA-PBE.
Peak positions follow from Bragg's law for the DFT cell and can differ from measured ones.

Most intense lines, 10 to 90 degrees two-theta, in order of rising 2θ:
2theta	Rel. int.
15.61	48
18.66	30
22.64	28
26.28	42
29.80	67
31.58	100
36.89	25
38.12	37
40.06	23
54.09	24

Crystal structure
a b c (Å): 9.8153 9.8153 7.0781
angles (deg): 90.00 90.00 151.26
Positions (direct):
Ca1 0.0000 0.0000 0.0000
Ca2 0.0000 0.0000 0.5000
Ca3 0.1762 0.8238 0.5065
Ca4 0.1762 0.8238 0.9935
Ca5 0.4148 0.5852 0.2500
Ca6 0.5852 0.4148 0.7500
Ca7 0.8238 0.1762 0.0065
Ca8 0.8238 0.1762 0.4935
Hg1 0.3989 0.6011 0.7500
Hg2 0.6011 0.3989 0.2500
N1 0.0924 0.9076 0.7500
N2 0.9076 0.0924 0.2500

No. 3
This entry pairs a crystal structure of TbNd2Dy2Y with its simulated XRD peak list. Radiation: Cu Ka. Structure: a cell relaxed with GGA-PBE.
Peak positions follow from Bragg's law for the DFT cell and can differ from measured ones.

Most intense lines, 10 to 90 degrees two-theta, in order of rising 2θ:
2theta	Rel. int.
27.97	21
30.14	100
30.34	15
30.72	49
32.24	36
33.05	18
36.72	36
49.65	25
61.76	19
62.76	25

Crystal structure
a b c (Å): 6.5667 6.8349 8.9482
angles (deg): 90.00 96.10 90.00
Positions (direct):
Tb1 0.0727 0.2500 0.4904
Tb2 0.9273 0.7500 0.5096
Nd1 0.3226 0.7500 0.8492
Nd2 0.4138 0.7500 0.4797
Nd3 0.5862 0.2500 0.5203
Nd4 0.6774 0.2500 0.1508
Dy1 0.1732 0.0016 0.1669
Dy2 0.1732 0.4984 0.1669
Dy3 0.8268 0.5016 0.8331
Dy4 0.8268 0.9984 0.8331
Y1 0.3156 0.2500 0.8432
Y2 0.6844 0.7500 0.1568

No. 4
This entry pairs a crystal structure of Ge7PbN10 with its simulated XRD peak list. Radiation: Cu Ka. Structure: a cell relaxed with GGA-PBE.
Peak positions follow from Bragg's law for the DFT cell and can differ from measured ones.

Most intense lines, 10 to 90 degrees two-theta, in order of rising 2θ:
2theta	Rel. int.
17.80	32
22.62	35
24.97	52
27.49	100
28.22	45
28.39	85
29.62	94
34.84	39
36.96	37
37.15	73

Crystal structure
a b c (Å): 7.3238 7.1320 10.3465
angles (deg): 90.00 105.58 90.00
Positions (direct):
Ge1 0.0000 0.0267 0.0000
Ge2 0.0000 0.9733 0.5000
Ge3 0.1330 0.3701 0.6727
Ge4 0.1330 0.6299 0.1727
Ge5 0.1887 0.0287 0.3085
Ge6 0.1887 0.9713 0.8085
Ge7 0.3124 0.3691 0.9760
Ge8 0.3124 0.6309 0.4760
Ge9 0.4997 0.3725 0.2939
Ge10 0.4997 0.6275 0.7939
Ge11 0.7567 0.3957 0.0606
Ge12 0.7567 0.6043 0.5606
Ge13 0.9436 0.3807 0.3685
Ge14 0.9436 0.6193 0.8685
Pb1 0.5695 0.0499 0.5686
Pb2 0.5695 0.9501 0.0686
N1 0.0988 0.1145 0.6555
N2 0.0988 0.8855 0.1555
N3 0.1376 0.4689 0.5094
N4 0.1376 0.5311 0.0094
N5 0.2206 0.1281 0.9608
N6 0.2206 0.8719 0.4608
N7 0.3508 0.4193 0.8085
N8 0.3508 0.5807 0.3085
N9 0.4159 0.1462 0.3375
N10 0.4159 0.8538 0.8375
N11 0.5317 0.3753 0.1162
N12 0.5317 0.6247 0.6162
N13 0.7261 0.4144 0.4272
N14 0.7261 0.5856 0.9272
N15 0.7901 0.1571 0.0056
N16 0.7901 0.8429 0.5056
N17 0.9310 0.4993 0.7091
N18 0.9310 0.5007 0.2091
N19 0.9694 0.1281 0.3486
N20 0.9694 0.8719 0.8486

No. 5
This entry pairs a crystal structure of Ac5Pr2Sm6 with its simulated XRD peak list. Radiation: Cu Ka. Structure: a cell relaxed with GGA-PBE.
Peak positions follow from Bragg's law for the DFT cell and can differ from measured ones.

Most intense lines, 10 to 90 degrees two-theta, in order of rising 2θ:
2theta	Rel. int.
22.92	12
28.25	21
28.58	20
29.26	25
30.32	100
31.51	40
47.81	12
53.80	14
56.61	27
58.38	14

Crystal structure
a b c (Å): 11.8159 22.6688 3.8053
angles (deg): 90.00 90.00 90.00
Positions (direct):
Ac1 0.0000 0.0000 0.0000
Ac2 0.1277 0.2595 0.0000
Ac3 0.1436 0.5466 0.0000
Ac4 0.3564 0.0466 0.0000
Ac5 0.3723 0.7595 0.0000
Ac6 0.5000 0.5000 0.0000
Ac7 0.6277 0.2405 0.0000
Ac8 0.6436 0.9534 0.0000
Ac9 0.8564 0.4534 0.0000
Ac10 0.8723 0.7405 0.0000
Pr1 0.1240 0.7002 0.5000
Pr2 0.3760 0.2002 0.5000
Pr3 0.6240 0.7998 0.5000
Pr4 0.8760 0.2998 0.5000
Sm1 0.1232 0.1218 0.5000
Sm2 0.1225 0.8453 0.0000
Sm3 0.1310 0.4018 0.5000
Sm4 0.3690 0.9018 0.5000
Sm5 0.3775 0.3453 0.0000
Sm6 0.3768 0.6218 0.5000
Sm7 0.6232 0.3782 0.5000
Sm8 0.6225 0.6547 0.0000
Sm9 0.6310 0.0982 0.5000
Sm10 0.8690 0.5982 0.5000
Sm11 0.8775 0.1547 0.0000
Sm12 0.8768 0.8782 0.5000

No. 6
This entry pairs a crystal structure of K3Ga4Ag2 with its simulated XRD peak list. Radiation: Cu Ka. Structure: a cell relaxed with GGA-PBE.
Peak positions follow from Bragg's law for the DFT cell and can differ from measured ones.

Most intense lines, 10 to 90 degrees two-theta, in order of rising 2θ:
2theta	Rel. int.
14.39	100
15.74	31
28.62	42
32.85	19
33.92	15
34.05	14
38.37	34
40.16	41
42.71	14
42.77	14

Crystal structure
a b c (Å): 4.6921 6.7089 9.2498
angles (deg): 96.14 104.63 110.11
Positions (direct):
K1 0.0000 0.0000 0.0000
K2 0.2527 0.8690 0.6374
K3 0.7473 0.1310 0.3626
Ga1 0.3416 0.5941 0.0802
Ga2 0.4843 0.5809 0.3800
Ga3 0.5157 0.4191 0.6200
Ga4 0.6584 0.4059 0.9198
Ag1 0.0750 0.3949 0.7642
Ag2 0.9250 0.6051 0.2358

No. 7
This entry pairs a crystal structure of CsSrLiI4 with its simulated XRD peak list. Radiation: Cu Ka. Structure: a cell relaxed with GGA-PBE.
Peak positions follow from Bragg's law for the DFT cell and can differ from measured ones.

Most intense lines, 10 to 90 degrees two-theta, in order of rising 2θ:
2theta	Rel. int.
24.83	100
24.97	41
27.10	40
27.26	27
28.25	76
34.18	15
38.39	17
41.47	17
44.09	17
49.70	17

Crystal structure
a b c (Å): 7.7789 8.2154 10.4943
angles (deg): 90.00 109.33 90.00
Positions (direct):
Cs1 0.2463 0.2500 0.0555
Cs2 0.7537 0.7500 0.9445
Sr1 0.2216 0.2500 0.5524
Sr2 0.7784 0.7500 0.4476
Li1 0.2287 0.7500 0.3259
Li2 0.7713 0.2500 0.6741
I1 0.0161 0.5038 0.7100
I2 0.0161 0.9962 0.7100
I3 0.4264 0.7500 0.1554
I4 0.4559 0.7500 0.5831
I5 0.5441 0.2500 0.4169
I6 0.5736 0.2500 0.8446
I7 0.9839 0.0038 0.2900
I8 0.9839 0.4962 0.2900

No. 8
This entry pairs a crystal structure of Sm4DyPb4 with its simulated XRD peak list. Radiation: Cu Ka. Structure: a cell relaxed with GGA-PBE.
Peak positions follow from Bragg's law for the DFT cell and can differ from measured ones.

Most intense lines, 10 to 90 degrees two-theta, in order of rising 2θ:
2theta	Rel. int.
29.19	43
29.41	100
34.77	50
42.07	32
44.08	34
48.18	30
59.19	18
65.50	17
69.05	13
69.16	11

Crystal structure
a b c (Å): 9.6050 9.6050 6.4545
angles (deg): 90.00 90.00 90.00
Positions (direct):
Sm1 0.0283 0.6674 0.1285
Sm2 0.1674 0.9717 0.6285
Sm3 0.3326 0.5283 0.6285
Sm4 0.4717 0.8326 0.1285
Sm5 0.5283 0.1674 0.8715
Sm6 0.6674 0.4717 0.3715
Sm7 0.8326 0.0283 0.3715
Sm8 0.9717 0.3326 0.8715
Dy1 0.2500 0.2500 0.2500
Dy2 0.7500 0.7500 0.7500
Pb1 0.0314 0.6516 0.6216
Pb2 0.1516 0.9686 0.1216
Pb3 0.3484 0.5314 0.1216
Pb4 0.4686 0.8484 0.6216
Pb5 0.5314 0.1516 0.3784
Pb6 0.6516 0.4686 0.8784
Pb7 0.8484 0.0314 0.8784
Pb8 0.9686 0.3484 0.3784

No. 9
This entry pairs a crystal structure of BaPrNpN4 with its simulated XRD peak list. Radiation: Cu Ka. Structure: a cell relaxed with GGA-PBE.
Peak positions follow from Bragg's law for the DFT cell and can differ from measured ones.

Most intense lines, 10 to 90 degrees two-theta, in order of rising 2θ:
2theta	Rel. int.
13.55	24
29.26	100
29.55	60
40.44	16
42.28	28
51.71	18
52.25	42
60.69	13
69.53	11
84.69	16

Crystal structure
a b c (Å): 4.2752 4.2752 13.0738
angles (deg): 90.00 90.00 90.00
Positions (direct):
Ba1 0.0000 0.0000 0.0000
Ba2 0.5000 0.5000 0.5000
Pr1 0.0000 0.0000 0.7095
Pr2 0.5000 0.5000 0.2095
Np1 0.0000 0.0000 0.3517
Np2 0.5000 0.5000 0.8517
N1 0.0000 0.0000 0.1974
N2 0.0000 0.0000 0.5102
N3 0.0000 0.5000 0.3363
N4 0.0000 0.5000 0.8363
N5 0.5000 0.0000 0.3363
N6 0.5000 0.0000 0.8363
N7 0.5000 0.5000 0.0102
N8 0.5000 0.5000 0.6974

No. 10
This entry pairs a crystal structure of ZnFe2Ni with its simulated XRD peak list. Radiation: Cu Ka. Structure: a cell relaxed with GGA-PBE.
Peak positions follow from Bragg's law for the DFT cell and can differ from measured ones.

Most intense lines, 10 to 90 degrees two-theta, in order of rising 2θ:
2theta	Rel. int.
27.28	1
43.29	100
49.14	34
52.91	13
72.03	10
75.09	17
87.91	22

Crystal structure
a b c (Å): 3.7083 3.7083 6.9224
angles (deg): 90.00 90.00 90.00
Positions (direct):
Zn1 0.0000 0.0000 0.0000
Zn2 0.5000 0.5000 0.5000
Fe1 0.0000 0.0000 0.5000
Fe2 0.0000 0.5000 0.2500
Fe3 0.5000 0.0000 0.7500
Fe4 0.5000 0.5000 0.0000
Ni1 0.0000 0.5000 0.7500
Ni2 0.5000 0.0000 0.2500